The following is a simulated powder diffractogram of CsCoSi2. It was derived from a GGA-PBE-relaxed structure, using Cu Kα X-rays.
Kinematic intensities with the Lorentz-polarization factor, no thermal factor.

Crystal structure
Unit cell a=6.8425 b=6.8425 c=9.7003 alpha=90.00 beta=90.00 gamma=90.00
Space group I4_1/amd (No. 141, origin choice 2)
Unique sites:
Cs 0.0000 0.2500 0.3750
Co 0.0000 0.2500 0.8750
Si 0.0000 0.0000 0.0000

The 10 most intense peaks (5° ≤ 2θ ≤ 70°), in order of falling intensity:
(2 0 0), 26.02 deg, I 100
(3 1 2), 45.91 deg, I 41
(4 0 0), 53.53 deg, I 22
(2 1 1), 30.62 deg, I 21
(4 2 0), 60.50 deg, I 12
(2 2 0), 37.13 deg, I 9
(1 1 6), 60.37 deg, I 6
(3 0 3), 48.83 deg, I 4
(3 2 1), 48.90 deg, I 4
(2 0 2), 32.01 deg, I 4

The following is a simulated powder diffractogram of CsUCoTe4. It was derived from a GGA-PBE-relaxed structure, using Cu Kα X-rays.
Kinematic intensities with the Lorentz-polarization factor, no thermal factor.

Crystal structure
Unit cell a=7.3360 b=6.3527 c=10.6484 alpha=90.00 beta=105.55 gamma=90.00
Space group P2_1/m (No. 11)
Unique sites:
Cs 0.2250 0.2500 0.0430
U 0.2665 0.2500 0.5487
Co 0.2708 0.7500 0.3599
Te 0.0076 0.5033 0.6915
Te 0.4290 0.7500 0.5972
Te 0.4532 0.7500 0.1895

The 10 most intense peaks (5° ≤ 2θ ≤ 70°), in order of falling intensity:
(0 0 1), 8.62 deg, I 100
(1 1 2), 27.87 deg, I 45
(2 0 -2), 26.52 deg, I 41
(1 2 0), 30.86 deg, I 35
(1 0 -4), 33.82 deg, I 33
(2 1 -2), 30.08 deg, I 22
(0 2 2), 33.17 deg, I 21
(1 1 0), 18.78 deg, I 19
(2 2 0), 38.09 deg, I 18
(1 0 2), 24.01 deg, I 17

The following is a simulated powder diffractogram of Co4Cu3. It was derived from a GGA-PBE-relaxed structure, using Cu Kα X-rays.
Kinematic intensities with the Lorentz-polarization factor, no thermal factor.

Crystal structure
Unit cell a=2.5419 b=2.5419 c=24.6643 alpha=90.00 beta=90.00 gamma=90.00
Space group I4/mmm (No. 139)
Unique sites:
Co 0.0000 0.0000 0.0738
Co 0.0000 0.0000 0.3615
Cu 0.0000 0.0000 0.2128
Cu 0.0000 0.0000 0.5000

The 6 most intense peaks (5° ≤ 2θ ≤ 70°), in order of falling intensity:
(1 0 7), 43.92 deg, I 100
(1 1 0), 50.80 deg, I 32
(0 0 14), 51.90 deg, I 14
(0 0 10), 36.43 deg, I 1
(1 0 3), 37.02 deg, I 1
(1 1 10), 64.11 deg, I 1

The following is a simulated powder diffractogram of CoCu5. It was derived from a GGA-PBE-relaxed structure, using Cu Kα X-rays.
Kinematic intensities with the Lorentz-polarization factor, no thermal factor.

Crystal structure
Unit cell a=6.6818 b=6.6818 c=6.6818 alpha=90.00 beta=90.00 gamma=90.00
Space group F-43m (No. 216)
Unique sites:
Co 0.0000 0.0000 0.0000
Cu 0.1251 0.1251 0.6251
Cu 0.2500 0.2500 0.2500

The 7 most intense peaks (5° ≤ 2θ ≤ 70°), in order of falling intensity:
(3 1 1), 45.00 deg, I 100
(2 2 2), 47.12 deg, I 42
(2 2 0), 38.09 deg, I 26
(4 2 2), 68.84 deg, I 8
(1 1 1), 23.06 deg, I 8
(4 0 0), 54.97 deg, I 5
(3 3 1), 60.39 deg, I 2

The following is a simulated powder diffractogram of Dy6CoCu5. It was derived from a GGA-PBE-relaxed structure, using Cu Kα X-rays.
Kinematic intensities with the Lorentz-polarization factor, no thermal factor.

Crystal structure
Unit cell a=4.8685 b=6.9136 c=14.5646 alpha=90.00 beta=90.00 gamma=90.00
Space group Immm (No. 71)
Unique sites:
Dy 0.0000 0.2422 0.0000
Dy 0.0000 0.2545 0.3373
Co 0.0000 0.5000 0.5000
Cu 0.0000 0.0000 0.1694
Cu 0.0000 0.0000 0.5000
Cu 0.0000 0.5000 0.1660

The 10 most intense peaks (5° ≤ 2θ ≤ 70°), in order of falling intensity:
(2 0 0), 36.89 deg, I 100
(0 0 6), 37.03 deg, I 20
(1 0 3), 25.92 deg, I 16
(3 2 3), 66.50 deg, I 14
(2 4 0), 66.36 deg, I 14
(2 0 6), 53.30 deg, I 14
(1 2 9), 66.64 deg, I 13
(0 2 0), 25.77 deg, I 8
(2 2 0), 45.62 deg, I 7
(0 4 0), 52.98 deg, I 7